(1)
# Y2Mg
Theoretical powder XRD pattern, copper Kα. Input: a cell relaxed with PBE.
Lines closer than 0.1° are merged.

Main lines, most intense first (2θ from 5° to 70°):
(hkl)	d/Å	I_rel
1 1 1	2.663	100
1 1 0	3.022	30
0 0 2	2.818	25
1 1 3	1.596	20
3 0 2	1.483	20
1 1 2	2.061	19

Crystal structure
```
data_Y2Mg
_chemical_formula_sum 'Y4 Mg2'
_cell_length_a 6.0435
_cell_length_b 6.0435
_cell_length_c 5.6367
_cell_angle_alpha 90.00
_cell_angle_beta 90.00
_cell_angle_gamma 120.00
_space_group_name_H-M_alt 'P -6 2 m'
_space_group_IT_number 189
_space_group_name_Hall 'P -6 -2'
loop_
_atom_site_label
_atom_site_fract_x
_atom_site_fract_y
_atom_site_fract_z
_atom_site_occupancy
Y1 0.0000 0.0000 0.0000 1
Y2 0.0000 0.6562 0.5000 1
Mg1 0.3333 0.6667 0.0000 1
```

(2)
# Y2Mg
Theoretical powder XRD pattern, copper Kα. Input: a cell relaxed with PBE.
Lines closer than 0.1° are merged.

Main lines, most intense first (2θ from 5° to 70°):
(hkl)	d/Å	I_rel
1 0 3	2.692	100
1 0 0	3.075	30
0 0 1	16.712	28
0 0 6	2.785	23
1 1 6	1.497	20
1 0 9	1.590	19

Crystal structure
```
data_Y2Mg
_chemical_formula_sum 'Y4 Mg2'
_cell_length_a 3.5505
_cell_length_b 3.5505
_cell_length_c 16.7118
_cell_angle_alpha 90.00
_cell_angle_beta 90.00
_cell_angle_gamma 120.00
_space_group_name_H-M_alt 'P -6 m 2'
_space_group_IT_number 187
_space_group_name_Hall 'P -6 2'
loop_
_atom_site_label
_atom_site_fract_x
_atom_site_fract_y
_atom_site_fract_z
_atom_site_occupancy
Y1 0.0000 0.0000 0.0000 1
Y2 0.0000 0.0000 0.3289 1
Y3 0.3333 0.6667 0.5000 1
Mg1 0.3333 0.6667 0.1647 1
```